1.
# Ag4Cl3F2
Calculated powder diffraction line list, Cu Kα X-rays. Input: a PBE-relaxed structure.

The 8 most intense peaks (2θ from 10° to 90°), by intensity:
| 2θ (°) | I/Imax | (hkl) |
| --- | --- | --- |
| 27.89 | 100 | 2 2 -1 |
| 26.72 | 52 | 0 0 2 |
| 30.95 | 38 | 4 0 0 |
| 38.35 | 22 | 0 4 0 |
| 41.26 | 17 | 4 0 -2 |
| 41.42 | 16 | 4 0 2 |
| 40.23 | 15 | 1 3 -2 |
| 51.01 | 15 | 1 3 3 |

```
data_Ag4Cl3F2
_chemical_formula_sum 'Ag16 Cl12 F8'
_symmetry_space_group_name_H-M 'C 1 2/c 1'
_symmetry_Int_Tables_number 15
_symmetry_space_group_name_Hall '-C 2yc'
_cell_length_a 11.5545
_cell_length_b 9.3874
_cell_length_c 6.6735
_cell_angle_alpha 90.00
_cell_angle_beta 90.22
_cell_angle_gamma 90.00
loop_
_atom_site_label
_atom_site_type_symbol
_atom_site_fract_x
_atom_site_fract_y
_atom_site_fract_z
Ag1 Ag 0.1079 0.1574 0.0097
Ag2 Ag 0.1439 0.4039 0.5521
Cl1 Cl 0.0000 0.4024 0.2500
Cl2 Cl 0.1113 0.1302 0.5533
F1 F 0.2030 0.3751 0.8923
```


2.
# Li2MgPd3
Calculated powder diffraction line list, Cu Kα X-rays. Input: a PBE-relaxed structure.

The 8 most intense peaks (2θ from 10° to 90°), by intensity:
| 2θ (°) | I/Imax | (hkl) |
| --- | --- | --- |
| 41.77 | 100 | 0 6 0 |
| 29.14 | 70 | 1 3 0 |
| 29.26 | 34 | 0 0 2 |
| 51.74 | 27 | 2 0 2 |
| 41.63 | 20 | 2 0 0 |
| 76.25 | 19 | 1 9 2 |
| 68.54 | 17 | 1 9 0 |
| 60.42 | 13 | 2 6 0 |

```
data_Li2MgPd3
_chemical_formula_sum 'Li8 Mg4 Pd12'
_symmetry_space_group_name_H-M 'C m m m'
_symmetry_Int_Tables_number 65
_symmetry_space_group_name_Hall '-C 2 2'
_cell_length_a 4.3389
_cell_length_b 12.9829
_cell_length_c 6.1044
_cell_angle_alpha 90.00
_cell_angle_beta 90.00
_cell_angle_gamma 90.00
loop_
_atom_site_label
_atom_site_type_symbol
_atom_site_fract_x
_atom_site_fract_y
_atom_site_fract_z
Li1 Li 0.0000 0.0000 0.0000
Li2 Li 0.0000 0.0000 0.5000
Li3 Li 0.0000 0.3323 0.0000
Mg1 Mg 0.0000 0.3355 0.5000
Pd1 Pd 0.0000 0.1652 0.2411
Pd2 Pd 0.0000 0.5000 0.2402
```


3.
# Y8InRu2
Calculated powder diffraction line list, Cu Kα X-rays. Input: a PBE-relaxed structure.

The 8 most intense peaks (2θ from 10° to 90°), by intensity:
| 2θ (°) | I/Imax | (hkl) |
| --- | --- | --- |
| 35.16 | 100 | 1 3 2 |
| 30.70 | 78 | 1 4 1 |
| 33.74 | 73 | 2 0 0 |
| 31.32 | 50 | 1 1 2 |
| 42.65 | 34 | 1 0 3 |
| 32.53 | 27 | 1 5 0 |
| 39.84 | 24 | 1 6 1 |
| 33.42 | 21 | 0 6 0 |

```
data_Y8InRu2
_chemical_formula_sum 'Y16 In2 Ru4'
_symmetry_space_group_name_H-M 'I m m 2'
_symmetry_Int_Tables_number 44
_symmetry_space_group_name_Hall 'I 2 -2'
_cell_length_a 5.3132
_cell_length_b 16.0875
_cell_length_c 6.9303
_cell_angle_alpha 90.00
_cell_angle_beta 90.00
_cell_angle_gamma 90.00
loop_
_atom_site_label
_atom_site_type_symbol
_atom_site_fract_x
_atom_site_fract_y
_atom_site_fract_z
Y1 Y 0.0000 0.0000 0.0000
Y2 Y 0.0000 0.1091 0.4645
Y3 Y 0.0000 0.2877 0.1335
Y4 Y 0.0000 0.3313 0.5959
Y5 Y 0.0000 0.5000 0.2311
In1 In 0.0000 0.5000 0.7971
Ru1 Ru 0.0000 0.1719 0.8285
```


Please write out number 3 again, unchanged.
# Y8InRu2
Calculated powder diffraction line list, Cu Kα X-rays. Input: a PBE-relaxed structure.

The 8 most intense peaks (2θ from 10° to 90°), by intensity:
| 2θ (°) | I/Imax | (hkl) |
| --- | --- | --- |
| 35.16 | 100 | 1 3 2 |
| 30.70 | 78 | 1 4 1 |
| 33.74 | 73 | 2 0 0 |
| 31.32 | 50 | 1 1 2 |
| 42.65 | 34 | 1 0 3 |
| 32.53 | 27 | 1 5 0 |
| 39.84 | 24 | 1 6 1 |
| 33.42 | 21 | 0 6 0 |

```
data_Y8InRu2
_chemical_formula_sum 'Y16 In2 Ru4'
_symmetry_space_group_name_H-M 'I m m 2'
_symmetry_Int_Tables_number 44
_symmetry_space_group_name_Hall 'I 2 -2'
_cell_length_a 5.3132
_cell_length_b 16.0875
_cell_length_c 6.9303
_cell_angle_alpha 90.00
_cell_angle_beta 90.00
_cell_angle_gamma 90.00
loop_
_atom_site_label
_atom_site_type_symbol
_atom_site_fract_x
_atom_site_fract_y
_atom_site_fract_z
Y1 Y 0.0000 0.0000 0.0000
Y2 Y 0.0000 0.1091 0.4645
Y3 Y 0.0000 0.2877 0.1335
Y4 Y 0.0000 0.3313 0.5959
Y5 Y 0.0000 0.5000 0.2311
In1 In 0.0000 0.5000 0.7971
Ru1 Ru 0.0000 0.1719 0.8285
```


> What is the formula in the third record?

Y8InRu2